Entry 1:
# Zn2Cu3Ag3
Computed PXRD pattern, Cu Ka. Input: a DFT-relaxed cell (GGA-PBE, OQMD).

Cell and atoms:
a = 4.473 Å, b = 5.516 Å, c = 5.516 Å
α = 60.76°, β = 90.00°, γ = 90.00°
Atoms (fractional coordinates):
Zn: 0.000 0.000 0.000
Zn: 0.500 0.339 0.339
Cu: 0.000 0.005 0.524
Cu: 0.000 0.524 0.005
Cu: 0.500 0.841 0.841
Ag: 0.000 0.504 0.504
Ag: 0.500 0.343 0.851
Ag: 0.500 0.851 0.343

Largest 12 diffraction maxima, by angle, 5° ≤ 2θ ≤ 70°:
2θ (°)	I/Imax
18.6	5
27.4	6
37.4	27
37.8	10
38.0	3
40.3	41
42.7	100
43.1	52
56.1	16
56.5	6
67.1	8
68.0	15



Entry 2:
# Lu2ScCu
Computed PXRD pattern, Cu Ka. Input: a DFT-relaxed cell (GGA-PBE, OQMD).

Cell and atoms:
a = 5.048 Å, b = 5.048 Å, c = 5.048 Å
α = 60.00°, β = 60.00°, γ = 60.00°
Atoms (fractional coordinates):
Lu: 0.000 0.000 0.000
Lu: 0.250 0.250 0.250
Sc: 0.750 0.750 0.750
Cu: 0.500 0.500 0.500

Largest 7 diffraction maxima, by angle, 5° ≤ 2θ ≤ 70°:
2θ (°)	I/Imax
21.6	30
35.6	100
42.0	17
51.2	18
56.2	7
63.9	36
68.3	6



What is the formula in the second record?
Lu2ScCu